For YFeSi2Os, a structure optimized by DFT (PBE) gives the calculated powder diffractogram in this record (CuKα).
Intensities are scaled so that the largest is 100.

Cell and atoms:
a = 5.642 Å, b = 5.642 Å, c = 5.642 Å
α = 137.95°, β = 137.95°, γ = 60.99°
Element x y z (fractional)
Y: 0.000 0.000 0.000
Fe: 0.750 0.250 0.500
Si: 0.372 0.372 0.000
Si: 0.628 0.628 0.000
Os: 0.250 0.750 0.500

Most intense lines, 2θ from 10° to 80°, in order of falling intensity:
2θ (°), intensity
36.42, 100
23.80, 49
44.77, 38
35.48, 33
18.25, 31
77.01, 22
66.27, 18
49.17, 17
36.98, 17
59.41, 17
58.38, 16
51.32, 13